(1)
Simulated powder diffractogram of Na4Sr2SiAs4 for Cu Kα, from a DFT-relaxed cell (PBE, the Materials Project).
Neutral-atom scattering factors, no anomalous dispersion.

Main lines, most intense first (10 to 80 degrees two-theta):
2θ/deg, d (Å), intensity
10.6, 8.334, 100
37.5, 2.401, 82
32.2, 2.782, 50
24.5, 3.629, 48
32.3, 2.770, 46
31.9, 2.803, 45

Structure:
a = 9.608 Å, b = 9.608 Å, c = 7.494 Å
α = 90.41°, β = 90.41°, γ = 119.80°
Fractional positions:
Na (0.072, 0.928, 0.500)
Na (0.314, 0.841, 0.196)
Na (0.498, 0.653, 0.026)
Na (0.648, 0.942, 0.517)
Na (0.653, 0.498, 0.526)
Na (0.841, 0.314, 0.696)
Na (0.928, 0.072, 0.000)
Na (0.942, 0.648, 0.017)
Sr (0.258, 0.309, 0.693)
Sr (0.261, 0.740, 0.693)
Sr (0.309, 0.258, 0.193)
Sr (0.740, 0.261, 0.193)
Si (0.127, 0.462, 0.310)
Si (0.462, 0.127, 0.810)
As (0.124, 0.451, 0.985)
As (0.179, 0.983, 0.902)
As (0.403, 0.594, 0.416)
As (0.451, 0.124, 0.485)
As (0.591, 0.981, 0.908)
As (0.594, 0.403, 0.916)
As (0.981, 0.591, 0.408)
As (0.983, 0.179, 0.402)

(2)
Simulated powder diffractogram of Lu2CCl2 for Cu Kα, from a DFT-relaxed cell (PBE, the Materials Project).
Neutral-atom scattering factors, no anomalous dispersion.

Main lines, most intense first (10 to 80 degrees two-theta):
2θ/deg, d (Å), intensity
32.9, 2.720, 100
31.4, 2.848, 71
38.9, 2.315, 69
28.7, 3.108, 62
50.5, 1.806, 44
52.1, 1.754, 35

Structure:
a = 9.416 Å, b = 9.416 Å, c = 9.416 Å
α = 22.11°, β = 22.11°, γ = 22.11°
Fractional positions:
Lu (0.120, 0.120, 0.120)
Lu (0.880, 0.880, 0.880)
C (0.500, 0.500, 0.500)
Cl (0.276, 0.276, 0.276)
Cl (0.724, 0.724, 0.724)

(3)
Simulated powder diffractogram of Nd2In8Co for Cu Kα, from a DFT-relaxed cell (PBE, the Materials Project).
Neutral-atom scattering factors, no anomalous dispersion.

Main lines, most intense first (10 to 80 degrees two-theta):
2θ/deg, d (Å), intensity
34.9, 2.574, 100
38.5, 2.341, 60
30.7, 2.914, 53
67.2, 1.392, 44
54.1, 1.694, 32
36.6, 2.455, 25

Structure:
a = 4.682 Å, b = 4.682 Å, c = 12.276 Å
α = 90.00°, β = 90.00°, γ = 90.00°
Fractional positions:
Nd (0.000, 0.000, 0.195)
Nd (0.000, 0.000, 0.805)
In (0.000, 0.500, 0.000)
In (0.000, 0.500, 0.383)
In (0.000, 0.500, 0.617)
In (0.500, 0.000, 0.000)
In (0.500, 0.000, 0.383)
In (0.500, 0.000, 0.617)
In (0.500, 0.500, 0.195)
In (0.500, 0.500, 0.805)
Co (0.000, 0.000, 0.500)

(4)
Simulated powder diffractogram of K3P11 for Cu Kα, from a DFT-relaxed cell (PBE, the Materials Project).
Neutral-atom scattering factors, no anomalous dispersion.

Main lines, most intense first (10 to 80 degrees two-theta):
2θ/deg, d (Å), intensity
13.2, 6.697, 100
26.6, 3.346, 48
32.6, 2.744, 32
31.6, 2.829, 31
16.5, 5.369, 26
22.4, 3.970, 26

Structure:
a = 10.738 Å, b = 13.920 Å, c = 10.869 Å
α = 90.00°, β = 90.00°, γ = 90.00°
Fractional positions:
K (0.000, 0.220, 0.250)
K (0.000, 0.780, 0.750)
K (0.234, 0.493, 0.070)
K (0.234, 0.507, 0.570)
K (0.266, 0.007, 0.570)
K (0.266, 0.993, 0.070)
K (0.500, 0.280, 0.750)
K (0.500, 0.720, 0.250)
K (0.734, 0.007, 0.930)
K (0.734, 0.993, 0.430)
K (0.766, 0.493, 0.430)
K (0.766, 0.507, 0.930)
P (0.000, 0.024, 0.750)
P (0.000, 0.976, 0.250)
P (0.011, 0.346, 0.514)
P (0.011, 0.654, 0.014)
P (0.081, 0.128, 0.877)
P (0.081, 0.872, 0.377)
P (0.082, 0.376, 0.813)
P (0.082, 0.624, 0.313)
P (0.089, 0.209, 0.570)
P (0.089, 0.791, 0.070)
P (0.177, 0.237, 0.756)
P (0.177, 0.763, 0.256)
P (0.323, 0.263, 0.256)
P (0.323, 0.737, 0.756)
P (0.411, 0.291, 0.070)
P (0.411, 0.709, 0.570)
P (0.418, 0.124, 0.313)
P (0.418, 0.876, 0.813)
P (0.419, 0.372, 0.377)
P (0.419, 0.628, 0.877)
P (0.489, 0.154, 0.014)
P (0.489, 0.846, 0.514)
P (0.500, 0.476, 0.250)
P (0.500, 0.524, 0.750)
P (0.511, 0.154, 0.486)
P (0.511, 0.846, 0.986)
P (0.581, 0.372, 0.123)
P (0.581, 0.628, 0.623)
P (0.582, 0.124, 0.187)
P (0.582, 0.876, 0.687)
P (0.589, 0.291, 0.430)
P (0.589, 0.709, 0.930)
P (0.677, 0.263, 0.244)
P (0.677, 0.737, 0.744)
P (0.823, 0.237, 0.744)
P (0.823, 0.763, 0.244)
P (0.911, 0.209, 0.930)
P (0.911, 0.791, 0.430)
P (0.918, 0.376, 0.687)
P (0.918, 0.624, 0.187)
P (0.919, 0.128, 0.623)
P (0.919, 0.872, 0.123)
P (0.989, 0.346, 0.986)
P (0.989, 0.654, 0.486)

(5)
Simulated powder diffractogram of La5Ti4GaO17 for Cu Kα, from a DFT-relaxed cell (PBE, the Materials Project).
Neutral-atom scattering factors, no anomalous dispersion.

Main lines, most intense first (10 to 80 degrees two-theta):
2θ/deg, d (Å), intensity
30.0, 2.981, 100
32.6, 2.744, 69
28.4, 3.143, 45
32.2, 2.777, 39
43.5, 2.082, 39
21.3, 4.163, 39

Structure:
a = 5.555 Å, b = 31.432 Å, c = 3.954 Å
α = 90.00°, β = 90.00°, γ = 90.00°
Fractional positions:
La (0.000, 0.000, 0.000)
La (0.005, 0.411, 0.500)
La (0.070, 0.787, 0.000)
La (0.430, 0.287, 0.500)
La (0.495, 0.911, 0.000)
La (0.500, 0.500, 0.500)
La (0.505, 0.089, 0.000)
La (0.570, 0.713, 0.500)
La (0.930, 0.213, 0.000)
La (0.995, 0.589, 0.500)
Ti (0.005, 0.908, 0.500)
Ti (0.034, 0.677, 0.000)
Ti (0.466, 0.177, 0.500)
Ti (0.495, 0.408, 0.000)
Ti (0.505, 0.592, 0.000)
Ti (0.534, 0.823, 0.500)
Ti (0.966, 0.323, 0.000)
Ti (0.995, 0.092, 0.500)
Ga (0.000, 0.500, 0.000)
Ga (0.500, 0.000, 0.500)
O (0.000, 0.500, 0.500)
O (0.004, 0.671, 0.500)
O (0.005, 0.084, 0.000)
O (0.187, 0.276, 0.000)
O (0.196, 0.621, 0.000)
O (0.203, 0.213, 0.500)
O (0.210, 0.036, 0.500)
O (0.216, 0.863, 0.500)
O (0.218, 0.449, 0.000)
O (0.282, 0.949, 0.500)
O (0.284, 0.363, 0.000)
O (0.290, 0.536, 0.000)
O (0.297, 0.713, 0.000)
O (0.304, 0.121, 0.500)
O (0.313, 0.776, 0.500)
O (0.495, 0.584, 0.500)
O (0.496, 0.171, 0.000)
O (0.500, 0.000, 0.000)
O (0.504, 0.829, 0.000)
O (0.505, 0.416, 0.500)
O (0.687, 0.224, 0.500)
O (0.696, 0.879, 0.500)
O (0.703, 0.287, 0.000)
O (0.710, 0.464, 0.000)
O (0.716, 0.637, 0.000)
O (0.718, 0.051, 0.500)
O (0.782, 0.551, 0.000)
O (0.784, 0.137, 0.500)
O (0.790, 0.964, 0.500)
O (0.797, 0.787, 0.500)
O (0.804, 0.379, 0.000)
O (0.813, 0.724, 0.000)
O (0.995, 0.916, 0.000)
O (0.996, 0.329, 0.500)